Record 1
Starting from a GGA-PBE-relaxed structure, the X-ray diffraction stick pattern of Ti3ZnN was calculated for Cu Kα X-rays.
No peak broadening, texture or thermal motion is included.

Peak list (6 most intense, 10 to 90 degrees two-theta, by angle)
Position (°2θ)	intensity
37.24	68
38.60	57
40.00	98
40.14	100
43.37	44
44.71	58

Atomic structure:
a b c (Å): 5.5744 5.5744 8.3446
angles (deg): 90.00 90.00 147.92
Atoms (fractional coordinates):
Ti  0.0379  0.9621  0.7500
Ti  0.3756  0.6244  0.5419
Ti  0.3756  0.6244  0.9581
Ti  0.6244  0.3756  0.0419
Ti  0.6244  0.3756  0.4581
Ti  0.9621  0.0379  0.2500
Zn  0.2544  0.7456  0.2500
Zn  0.7456  0.2544  0.7500
N  0.0000  0.0000  0.0000
N  0.0000  0.0000  0.5000

---

Record 2
Starting from a GGA-PBE-relaxed structure, the X-ray diffraction stick pattern of CsPbBr3 was calculated for Cu Kα X-rays.
No peak broadening, texture or thermal motion is included.

Peak list (6 most intense, 10 to 90 degrees two-theta, by angle)
Position (°2θ)	intensity
21.63	44
26.60	49
27.38	52
28.10	100
32.34	43
39.19	47

Atomic structure:
a b c (Å): 10.0411 4.6642 17.1982
angles (deg): 90.00 90.00 90.00
Atoms (fractional coordinates):
Cs  0.0883  0.2500  0.1713
Cs  0.4117  0.7500  0.6713
Cs  0.5883  0.2500  0.3287
Cs  0.9117  0.7500  0.8287
Pb  0.1628  0.7500  0.4374
Pb  0.3372  0.2500  0.9374
Pb  0.6628  0.7500  0.0626
Pb  0.8372  0.2500  0.5626
Br  0.0258  0.7500  0.6116
Br  0.1673  0.7500  0.9995
Br  0.1995  0.2500  0.7900
Br  0.3005  0.7500  0.2900
Br  0.3327  0.2500  0.4995
Br  0.4742  0.2500  0.1116
Br  0.5258  0.7500  0.8884
Br  0.6673  0.7500  0.5005
Br  0.6995  0.2500  0.7100
Br  0.8005  0.7500  0.2100
Br  0.8327  0.2500  0.0005
Br  0.9742  0.2500  0.3884